Starting from a structure optimized by DFT (GGA+U), the powder diffractogram of Mg6MnCoO8 was calculated for Cu Ka.

Most intense lines, 2θ = 15–90°, low angle first:
| index | d/Å | I_rel |
| --- | --- | --- |
| 1 1 1 | 2.855 | 13 |
| 1 1 2 | 2.478 | 39 |
| 0 0 4 | 2.161 | 52 |
| 2 0 0 | 2.139 | 100 |
| 2 0 4 | 1.520 | 58 |
| 2 2 0 | 1.512 | 28 |
| 3 1 2 | 1.291 | 13 |
| 2 2 4 | 1.239 | 26 |

Structure:
```
data_Mg6MnCoO8
_chemical_formula_sum 'Mg6 Mn1 Co1 O8'
_cell_length_a 4.2771
_cell_length_b 4.2771
_cell_length_c 8.6421
_cell_angle_alpha 90.00
_cell_angle_beta 90.00
_cell_angle_gamma 90.00
_symmetry_space_group_name_H-M 'P 4/m m m'
_symmetry_Int_Tables_number 123
_symmetry_space_group_name_Hall '-P 4 2'
loop_
_atom_site_label
_atom_site_fract_x
_atom_site_fract_y
_atom_site_fract_z
Mg1 0.0000 0.0000 0.0000
Mg2 0.0000 0.5000 0.2481
Mg3 0.5000 0.5000 0.0000
Mn1 0.0000 0.0000 0.5000
Co1 0.5000 0.5000 0.5000
O1 0.0000 0.0000 0.2435
O2 0.0000 0.5000 0.0000
O3 0.0000 0.5000 0.5000
O4 0.5000 0.5000 0.2463
```

Starting from a structure optimized by DFT (GGA+U), the powder diffractogram of MgMn2Co2O8 was calculated for Cu Ka.

Most intense lines, 2θ = 15–90°, low angle first:
| index | d/Å | I_rel |
| --- | --- | --- |
| 0 0 1 | 4.932 | 79 |
| 1 1 0 | 4.804 | 76 |
| 3 1 0 | 2.523 | 14 |
| 2 2 -1 | 2.502 | 19 |
| 2 2 0 | 2.405 | 13 |
| 4 0 0 | 2.093 | 100 |
| 2 2 2 | 1.497 | 17 |
| 6 2 -2 | 1.464 | 18 |

Structure:
```
data_MgMn2Co2O8
_chemical_formula_sum 'Mg2 Mn4 Co4 O16'
_cell_length_a 10.1349
_cell_length_b 5.8752
_cell_length_c 5.9660
_cell_angle_alpha 90.00
_cell_angle_beta 124.24
_cell_angle_gamma 90.00
_symmetry_space_group_name_H-M 'C 1 2/m 1'
_symmetry_Int_Tables_number 12
_symmetry_space_group_name_Hall '-C 2y'
loop_
_atom_site_label
_atom_site_fract_x
_atom_site_fract_y
_atom_site_fract_z
Mg1 0.0000 0.0000 0.0000
Mn1 0.2500 0.2500 0.0000
Co1 0.0000 0.5000 0.0000
Co2 0.0000 0.5000 0.5000
O1 0.0195 0.2700 0.7944
O2 0.2300 0.5000 0.1974
O3 0.2472 0.0000 0.2071
```